For Li4Mn3O7, a GGA+U-relaxed structure gives the theoretical powder X-ray diffraction pattern in this record (Cu Kα, 1.54184 Å).

Crystal structure
Unit cell a=3.0043 b=5.1104 c=16.9924 alpha=89.43 beta=89.02 gamma=88.28
Fractional coordinates of all 28 atoms:
Li 0.0000 0.0000 0.0000
Li 0.0642 0.3494 0.8619
Li 0.2145 0.0710 0.5718
Li 0.3537 0.7799 0.2861
Li 0.5000 0.5000 0.0000
Li 0.6463 0.2201 0.7139
Li 0.7855 0.9290 0.4282
Li 0.9358 0.6506 0.1381
Mn 0.1320 0.7113 0.7166
Mn 0.2863 0.4291 0.4278
Mn 0.4348 0.1349 0.1373
Mn 0.5652 0.8651 0.8627
Mn 0.7137 0.5709 0.5722
Mn 0.8680 0.2887 0.2834
O 0.0647 0.7042 0.9189
O 0.0749 0.0048 0.7927
O 0.1455 0.4065 0.6449
O 0.2847 0.7319 0.4989
O 0.2908 0.1246 0.3569
O 0.4295 0.4405 0.2141
O 0.4537 0.8400 0.0782
O 0.5463 0.1600 0.9218
O 0.5705 0.5595 0.7859
O 0.7092 0.8754 0.6431
O 0.7153 0.2681 0.5011
O 0.8545 0.5935 0.3551
O 0.9251 0.9952 0.2073
O 0.9353 0.2958 0.0811

Principal peaks in the range 2θ from 10° to 90°, sorted by position:
| Position (°2θ) | d (Å) | intensity |
| --- | --- | --- |
| 10.41 | 8.495 | 7 |
| 18.18 | 4.879 | 100 |
| 34.03 | 2.634 | 17 |
| 36.12 | 2.487 | 11 |
| 36.35 | 2.471 | 12 |
| 40.79 | 2.212 | 35 |
| 44.15 | 2.051 | 54 |
| 61.34 | 1.511 | 16 |
| 61.98 | 1.497 | 16 |
| 63.62 | 1.462 | 7 |

***

For Li5Mn6O16, a GGA+U-relaxed structure gives the theoretical powder X-ray diffraction pattern in this record (Cu Kα, 1.54184 Å).

Crystal structure
Unit cell a=5.8173 b=5.8173 c=10.3060 alpha=106.43 beta=106.43 gamma=59.98
Fractional coordinates of all 27 atoms:
Li 0.0000 0.0000 0.0000
Li 0.1216 0.1216 0.3653
Li 0.5019 0.5019 0.5066
Li 0.6239 0.6239 0.8727
Li 0.8117 0.8117 0.4359
Mn 0.0619 0.0619 0.6863
Mn 0.0621 0.5610 0.1858
Mn 0.0624 0.5613 0.6862
Mn 0.5610 0.0621 0.1858
Mn 0.5613 0.0624 0.6862
Mn 0.5616 0.5616 0.1858
O 0.1658 0.7072 0.5815
O 0.1928 0.1928 0.5793
O 0.2054 0.2054 0.0855
O 0.2049 0.6742 0.0854
O 0.4181 0.4181 0.7866
O 0.4187 0.9491 0.7866
O 0.4306 0.4306 0.2927
O 0.4579 0.9162 0.2906
O 0.6742 0.2049 0.0854
O 0.6927 0.6927 0.0793
O 0.7072 0.1658 0.5815
O 0.7077 0.7077 0.5815
O 0.9162 0.4579 0.2906
O 0.9158 0.9158 0.2905
O 0.9307 0.9307 0.7928
O 0.9491 0.4187 0.7866

Principal peaks in the range 2θ from 10° to 90°, sorted by position:
| Position (°2θ) | d (Å) | intensity |
| --- | --- | --- |
| 18.21 | 4.871 | 100 |
| 18.63 | 4.762 | 28 |
| 21.43 | 4.147 | 16 |
| 35.97 | 2.497 | 12 |
| 36.19 | 2.482 | 34 |
| 43.65 | 2.074 | 56 |
| 57.33 | 1.607 | 17 |
| 62.85 | 1.479 | 16 |
| 64.03 | 1.454 | 17 |
| 67.18 | 1.393 | 12 |

***

For Li2MnO3, a GGA+U-relaxed structure gives the theoretical powder X-ray diffraction pattern in this record (Cu Kα, 1.54184 Å).

Crystal structure
Unit cell a=5.0024 b=5.0024 c=5.0897 alpha=99.60 beta=99.60 gamma=119.90
Fractional coordinates of all 12 atoms:
Li 0.0000 0.0000 0.0000
Li 0.1614 0.8386 0.5000
Li 0.5000 0.5000 0.5000
Li 0.8386 0.1614 0.5000
Mn 0.3331 0.6669 0.0000
Mn 0.6669 0.3331 0.0000
O 0.0753 0.4325 0.2237
O 0.2810 0.2810 0.7725
O 0.4325 0.0753 0.2237
O 0.5675 0.9247 0.7763
O 0.7190 0.7190 0.2275
O 0.9247 0.5675 0.7763

Principal peaks in the range 2θ from 10° to 90°, sorted by position:
| Position (°2θ) | d (Å) | intensity |
| --- | --- | --- |
| 18.49 | 4.799 | 100 |
| 20.51 | 4.330 | 20 |
| 21.43 | 4.147 | 34 |
| 23.91 | 3.722 | 24 |
| 27.75 | 3.215 | 15 |
| 36.48 | 2.463 | 23 |
| 43.93 | 2.061 | 34 |
| 44.15 | 2.051 | 68 |
| 63.62 | 1.463 | 18 |
| 64.46 | 1.446 | 17 |

***

For Li4MnO3, a GGA+U-relaxed structure gives the theoretical powder X-ray diffraction pattern in this record (Cu Kα, 1.54184 Å).

Crystal structure
Unit cell a=5.0861 b=5.8229 c=6.7957 alpha=108.79 beta=90.01 gamma=115.87
Fractional coordinates of all 16 atoms:
Li 0.0000 0.0000 0.0000
Li 0.0408 0.4874 0.1102
Li 0.1307 0.2781 0.3928
Li 0.3010 0.9992 0.4998
Li 0.4481 0.2776 0.8927
Li 0.5023 0.1386 0.2029
Li 0.7479 0.4872 0.6109
Li 0.9372 0.1379 0.7025
Mn 0.3813 0.7586 0.7930
Mn 0.6788 0.7585 0.2921
O 0.0699 0.8512 0.7037
O 0.0830 0.8515 0.2034
O 0.3403 0.3921 0.1744
O 0.3527 0.3919 0.6745
O 0.7144 0.1332 0.9500
O 0.7198 0.1328 0.4500

Principal peaks in the range 2θ from 10° to 90°, sorted by position:
| Position (°2θ) | d (Å) | intensity |
| --- | --- | --- |
| 18.13 | 4.892 | 62 |
| 19.67 | 4.513 | 51 |
| 22.21 | 4.003 | 81 |
| 26.05 | 3.420 | 58 |
| 27.49 | 3.244 | 100 |
| 28.13 | 3.173 | 45 |
| 31.36 | 2.852 | 39 |
| 31.68 | 2.824 | 73 |
| 39.50 | 2.281 | 39 |
| 40.14 | 2.246 | 49 |

***

For Li4Mn3O8, a GGA+U-relaxed structure gives the theoretical powder X-ray diffraction pattern in this record (Cu Kα, 1.54184 Å).

Crystal structure
Unit cell a=6.0772 b=6.0772 c=6.0772 alpha=56.46 beta=56.46 gamma=56.46
Fractional coordinates of all 15 atoms:
Li 0.0000 0.0000 0.0000
Li 0.1420 0.1420 0.1420
Li 0.5000 0.5000 0.5000
Li 0.8580 0.8580 0.8580
Mn 0.0000 0.5000 0.5000
Mn 0.5000 0.0000 0.5000
Mn 0.5000 0.5000 0.0000
O 0.2441 0.2441 0.7192
O 0.2441 0.7192 0.2441
O 0.2670 0.2670 0.2670
O 0.2808 0.7559 0.7559
O 0.7192 0.2441 0.2441
O 0.7330 0.7330 0.7330
O 0.7559 0.2808 0.7559
O 0.7559 0.7559 0.2808

Principal peaks in the range 2θ from 10° to 90°, sorted by position:
| Position (°2θ) | d (Å) | intensity |
| --- | --- | --- |
| 17.42 | 5.091 | 100 |
| 18.75 | 4.734 | 21 |
| 21.30 | 4.171 | 11 |
| 35.88 | 2.503 | 9 |
| 36.57 | 2.457 | 29 |
| 43.39 | 2.085 | 54 |
| 56.05 | 1.641 | 18 |
| 61.18 | 1.515 | 16 |
| 64.87 | 1.437 | 16 |
| 67.74 | 1.383 | 11 |

***

For Li5Mn7O15, a GGA+U-relaxed structure gives the theoretical powder X-ray diffraction pattern in this record (Cu Kα, 1.54184 Å).

Crystal structure
Unit cell a=5.9081 b=5.9081 c=10.0121 alpha=105.88 beta=105.88 gamma=61.89
Fractional coordinates of all 27 atoms:
Li 0.0000 0.0000 0.0000
Li 0.1339 0.1339 0.3669
Li 0.5042 0.5042 0.4999
Li 0.5602 0.5602 0.1989
Li 0.6204 0.6204 0.8429
Mn 0.0649 0.0649 0.6831
Mn 0.0682 0.5636 0.6840
Mn 0.0882 0.5648 0.1945
Mn 0.3186 0.3186 0.9403
Mn 0.5636 0.0682 0.6840
Mn 0.5648 0.0882 0.1945
Mn 0.8099 0.8099 0.4268
O 0.1534 0.7172 0.5662
O 0.1892 0.6501 0.0551
O 0.1931 0.1931 0.5754
O 0.2093 0.2093 0.0679
O 0.4144 0.9743 0.8005
O 0.4246 0.4246 0.8091
O 0.4363 0.4363 0.3057
O 0.4856 0.9273 0.3041
O 0.6501 0.1892 0.0551
O 0.7086 0.7086 0.5605
O 0.7172 0.1534 0.5662
O 0.9194 0.9194 0.2941
O 0.9273 0.4856 0.3041
O 0.9387 0.9387 0.7925
O 0.9743 0.4144 0.8005

Principal peaks in the range 2θ from 10° to 90°, sorted by position:
| Position (°2θ) | d (Å) | intensity |
| --- | --- | --- |
| 18.19 | 4.878 | 86 |
| 18.48 | 4.802 | 100 |
| 18.70 | 4.744 | 37 |
| 34.95 | 2.567 | 15 |
| 35.07 | 2.559 | 33 |
| 36.12 | 2.487 | 19 |
| 42.81 | 2.112 | 82 |
| 44.29 | 2.045 | 37 |
| 62.97 | 1.476 | 23 |
| 63.62 | 1.463 | 23 |

***

For Li2Mn2O3, a GGA+U-relaxed structure gives the theoretical powder X-ray diffraction pattern in this record (Cu Kα, 1.54184 Å).

Crystal structure
Unit cell a=5.9977 b=5.4664 c=5.4336 alpha=90.00 beta=114.51 gamma=90.00
Fractional coordinates of all 14 atoms:
Li 0.0585 0.1543 0.1817
Li 0.0585 0.3457 0.6817
Li 0.9415 0.6543 0.3183
Li 0.9415 0.8457 0.8183
Mn 0.3530 0.5954 0.2328
Mn 0.3530 0.9046 0.7328
Mn 0.6470 0.0954 0.2672
Mn 0.6470 0.4046 0.7672
O 0.0000 0.0000 0.5000
O 0.0000 0.5000 0.0000
O 0.2999 0.5405 0.6065
O 0.2999 0.9595 0.1065
O 0.7001 0.0405 0.8935
O 0.7001 0.4595 0.3935

Principal peaks in the range 2θ from 10° to 90°, sorted by position:
| Position (°2θ) | d (Å) | intensity |
| --- | --- | --- |
| 16.24 | 5.457 | 74 |
| 23.03 | 3.862 | 79 |
| 24.74 | 3.599 | 100 |
| 32.77 | 2.733 | 40 |
| 33.00 | 2.714 | 79 |
| 36.34 | 2.472 | 31 |
| 36.81 | 2.442 | 39 |
| 37.60 | 2.392 | 70 |
| 47.23 | 1.924 | 57 |
| 50.15 | 1.819 | 30 |

***

For Li4Mn3O8, a GGA+U-relaxed structure gives the theoretical powder X-ray diffraction pattern in this record (Cu Kα, 1.54184 Å).

Crystal structure
Unit cell a=8.3247 b=8.3247 c=8.3247 alpha=90.43 beta=90.43 gamma=90.43
Fractional coordinates of all 60 atoms:
Li 0.0000 0.0000 0.0000
Li 0.1112 0.1122 0.6438
Li 0.1122 0.6438 0.1112
Li 0.2239 0.5000 0.7761
Li 0.2694 0.3043 0.5114
Li 0.3043 0.5114 0.2694
Li 0.3562 0.8878 0.8888
Li 0.4886 0.6957 0.7306
Li 0.5000 0.7761 0.2239
Li 0.5114 0.2694 0.3043
Li 0.6438 0.1112 0.1122
Li 0.6957 0.7306 0.4886
Li 0.7306 0.4886 0.6957
Li 0.7761 0.2239 0.5000
Li 0.8878 0.8888 0.3562
Li 0.8888 0.3562 0.8878
Mn 0.0000 0.5064 0.4936
Mn 0.0064 0.2547 0.2500
Mn 0.2421 0.7579 0.5000
Mn 0.2500 0.0064 0.2547
Mn 0.2547 0.2500 0.0064
Mn 0.4936 0.0000 0.5064
Mn 0.5000 0.2421 0.7579
Mn 0.5064 0.4936 0.0000
Mn 0.7453 0.9936 0.7500
Mn 0.7500 0.7453 0.9936
Mn 0.7579 0.5000 0.2421
Mn 0.9936 0.7500 0.7453
O 0.0060 0.7427 0.5075
O 0.0173 0.2784 0.4836
O 0.0226 0.0308 0.2522
O 0.0307 0.2522 0.0226
O 0.2244 0.7511 0.7329
O 0.2298 0.5298 0.4923
O 0.2473 0.2473 0.2473
O 0.2489 0.7756 0.2671
O 0.2522 0.0226 0.0307
O 0.2573 0.9939 0.4925
O 0.2671 0.2489 0.7756
O 0.2784 0.4836 0.0173
O 0.4702 0.7702 0.5077
O 0.4836 0.0173 0.2784
O 0.4923 0.2298 0.5298
O 0.4925 0.2573 0.9940
O 0.5075 0.0060 0.7427
O 0.5077 0.4702 0.7702
O 0.5164 0.7216 0.9827
O 0.5298 0.4923 0.2298
O 0.7216 0.9827 0.5164
O 0.7329 0.2244 0.7511
O 0.7427 0.5075 0.0060
O 0.7478 0.9693 0.9774
O 0.7511 0.7329 0.2244
O 0.7527 0.7527 0.7527
O 0.7702 0.5077 0.4702
O 0.7756 0.2671 0.2489
O 0.9693 0.9774 0.7478
O 0.9774 0.7478 0.9693
O 0.9827 0.5164 0.7216
O 0.9940 0.4925 0.2573

Principal peaks in the range 2θ from 10° to 90°, sorted by position:
| Position (°2θ) | d (Å) | intensity |
| --- | --- | --- |
| 14.99 | 5.908 | 22 |
| 15.11 | 5.864 | 25 |
| 18.41 | 4.818 | 100 |
| 18.60 | 4.770 | 28 |
| 23.83 | 3.734 | 17 |
| 23.98 | 3.712 | 19 |
| 35.75 | 2.512 | 28 |
| 43.49 | 2.081 | 89 |
| 62.92 | 1.477 | 24 |
| 63.45 | 1.466 | 23 |